(1)
Simulated X-ray powder pattern
Compound: CsTiCdCl6
Radiation: Cu Ka
Structure: a cell relaxed with GGA-PBE

Cell and atoms:
Lattice parameters (Å, degrees): 6.765 6.765 7.659 90.11 90.11 119.92
Fractional positions:
Cs 0.000 0.000 0.000
Ti 0.333 0.667 0.500
Cd 0.667 0.333 0.500
Cl 0.026 0.390 0.686
Cl 0.026 0.632 0.313
Cl 0.368 0.974 0.687
Cl 0.370 0.394 0.312
Cl 0.606 0.630 0.688
Cl 0.610 0.974 0.314

The 12 most intense peaks (2θ = 10–90°), by angle:
| Position (°2θ) | Rel. int. |
| --- | --- |
| 11.6 | 156 |
| 19.1 | 1000 |
| 26.3 | 158 |
| 28.8 | 170 |
| 32.7 | 181 |
| 35.3 | 226 |
| 35.4 | 335 |
| 38.5 | 119 |
| 42.4 | 136 |
| 42.5 | 120 |
| 46.5 | 168 |
| 47.3 | 88 |

(2)
Simulated X-ray powder pattern
Compound: CsTl4Cd3Cl12
Radiation: Cu Ka
Structure: a cell relaxed with GGA-PBE

Cell and atoms:
Lattice parameters (Å, degrees): 9.515 9.515 9.515 109.47 109.47 109.47
Fractional positions:
Cs 0.000 0.000 0.000
Tl 0.000 0.000 0.500
Tl 0.000 0.500 0.000
Tl 0.500 0.000 0.000
Tl 0.500 0.500 0.500
Cd 0.000 0.500 0.500
Cd 0.500 0.000 0.500
Cd 0.500 0.500 0.000
Cl 0.000 0.278 0.278
Cl 0.000 0.722 0.722
Cl 0.250 0.500 0.750
Cl 0.250 0.750 0.500
Cl 0.278 0.000 0.278
Cl 0.278 0.278 0.000
Cl 0.500 0.250 0.750
Cl 0.500 0.750 0.250
Cl 0.722 0.000 0.722
Cl 0.722 0.722 0.000
Cl 0.750 0.250 0.500
Cl 0.750 0.500 0.250

The 12 most intense peaks (2θ = 10–90°), by angle:
| Position (°2θ) | Rel. int. |
| --- | --- |
| 22.9 | 1000 |
| 28.1 | 177 |
| 32.6 | 460 |
| 40.2 | 463 |
| 46.8 | 319 |
| 52.7 | 231 |
| 55.5 | 68 |
| 58.2 | 107 |
| 63.3 | 259 |
| 73.1 | 122 |
| 77.7 | 133 |
| 86.9 | 101 |

(3)
Simulated X-ray powder pattern
Compound: CsUCd2Cl8
Radiation: Cu Ka
Structure: a cell relaxed with GGA-PBE

Cell and atoms:
Lattice parameters (Å, degrees): 6.810 6.810 10.315 90.00 90.00 120.00
Fractional positions:
Cs 0.000 0.000 0.000
U 0.000 0.000 0.500
Cd 0.333 0.667 0.754
Cd 0.667 0.333 0.246
Cl 0.011 0.686 0.337
Cl 0.314 0.325 0.337
Cl 0.325 0.011 0.663
Cl 0.333 0.667 0.988
Cl 0.667 0.333 0.012
Cl 0.675 0.989 0.337
Cl 0.686 0.675 0.663
Cl 0.989 0.314 0.663

The 12 most intense peaks (2θ = 10–90°), by angle:
| Position (°2θ) | Rel. int. |
| --- | --- |
| 15.0 | 319 |
| 17.3 | 623 |
| 22.9 | 1000 |
| 26.2 | 596 |
| 31.5 | 373 |
| 35.1 | 367 |
| 44.0 | 505 |
| 44.3 | 375 |
| 46.2 | 304 |
| 59.3 | 151 |
| 65.7 | 148 |
| 84.1 | 153 |

Which formula does entry 2 have? CsTl4Cd3Cl12